The following is a theoretical powder X-ray diffraction pattern of BaVSO2. It was derived from the GGA+U geometry in Alexandria, using a wavelength of 1.5418 Å.
Intensities are scaled so that the largest is 100.

Structure:
```
BaVSO2
1.0
1.905 -6.247 0.000
1.905 6.247 0.000
0.000 0.000 7.458
Ba V S O
2 2 2 4
Cartesian
1.905 3.385 5.594
1.905 -3.385 1.865
1.905 0.000 0.000
1.905 0.000 3.729
1.905 5.800 1.865
1.905 -5.800 5.594
1.905 1.753 0.307
1.905 1.753 3.422
1.905 -1.753 4.036
1.905 -1.753 7.151
```

Principal peaks in the range 2θ = 10–90°, by angle:
| 2theta | I (rel.) |
| --- | --- |
| 27.2 | 100 |
| 27.9 | 70 |
| 28.6 | 39 |
| 31.0 | 24 |
| 34.1 | 88 |
| 34.4 | 57 |
| 44.1 | 39 |
| 47.8 | 23 |
| 48.9 | 44 |
| 50.0 | 27 |